Simulated powder X-ray diffraction pattern of SrZn4Sb3O12 for copper Kα, from a structure optimized by DFT (PBE).
No peak broadening, texture or thermal motion is included.

Structure:
Lattice parameters (Å, degrees): 6.9919 6.9919 6.9919 107.55 107.55 107.55
Element x y z (fractional)
Sr1 0.0000 0.0000 0.0000
Zn1 0.0675 0.5000 0.9325
Zn2 0.5000 0.5000 0.5000
Zn3 0.5000 0.9325 0.0675
Zn4 0.9325 0.0675 0.5000
Sb1 0.0000 0.5614 0.4386
Sb2 0.4386 0.0000 0.5614
Sb3 0.5614 0.4386 0.0000
O1 0.0305 0.6537 0.7501
O2 0.1047 0.8953 0.5000
O3 0.2499 0.3463 0.9695
O4 0.3305 0.6695 0.5000
O5 0.3463 0.9695 0.2499
O6 0.5000 0.1047 0.8953
O7 0.5000 0.3305 0.6695
O8 0.6537 0.7501 0.0305
O9 0.6695 0.5000 0.3305
O10 0.7501 0.0305 0.6537
O11 0.8953 0.5000 0.1047
O12 0.9695 0.2499 0.3463

Principal peaks in the range 5° ≤ 2θ ≤ 70°, in order of rising 2θ:
- 2θ = 15.7°, intensity 17
- 2θ = 26.8°, intensity 47
- 2θ = 29.7°, intensity 100
- 2θ = 31.7°, intensity 30
- 2θ = 35.1°, intensity 38
- 2θ = 38.8°, intensity 17
- 2θ = 51.4°, intensity 19
- 2θ = 52.6°, intensity 17
- 2θ = 53.6°, intensity 18
- 2θ = 59.0°, intensity 23